[1]
Simulated powder X-ray diffraction pattern
Compound: Ni2PH2
Radiation: CuKα
Structure: a structure optimized by DFT (GGA-PBE)

Structure:
```
Ni2PH2
1.0
-1.408 1.408 5.104
1.408 -1.408 5.104
1.408 1.408 -5.104
Ni P H
2 1 2
direct
0.148 0.148 0.000
0.852 0.852 0.000
0.500 0.500 0.000
0.250 0.750 0.500
0.750 0.250 0.500
```

Top 8 peaks for 10° ≤ 2θ ≤ 90°, in order of rising 2θ:
2θ 32.99, intensity 19.0
2θ 35.16, intensity 10.3
2θ 41.63, intensity 100.0
2θ 45.55, intensity 41.1
2θ 58.82, intensity 9.6
2θ 66.39, intensity 12.9
2θ 73.13, intensity 18.9
2θ 81.49, intensity 24.9



[2]
Simulated powder X-ray diffraction pattern
Compound: Ni5PH2
Radiation: CuKα
Structure: a structure optimized by DFT (GGA-PBE)

Structure:
```
Ni5PH2
1.0
8.910 0.000 0.000
0.000 7.325 0.000
0.000 0.000 4.704
Ni P H
20 4 8
direct
0.006 0.250 0.000
0.114 0.000 0.330
0.114 0.500 0.330
0.221 0.750 0.660
0.231 0.250 0.655
0.269 0.750 0.155
0.279 0.250 0.160
0.386 0.000 0.830
0.386 0.500 0.830
0.494 0.750 0.500
0.506 0.250 0.500
0.614 0.000 0.170
0.614 0.500 0.170
0.721 0.750 0.840
0.731 0.250 0.845
0.769 0.750 0.345
0.779 0.250 0.340
0.886 0.000 0.670
0.886 0.500 0.670
0.994 0.750 0.000
0.002 0.250 0.510
0.498 0.750 0.010
0.502 0.250 0.990
0.998 0.750 0.490
0.167 0.092 0.008
0.167 0.408 0.008
0.333 0.592 0.508
0.333 0.908 0.508
0.667 0.092 0.492
0.667 0.408 0.492
0.833 0.592 0.992
0.833 0.908 0.992
```

Top 8 peaks for 10° ≤ 2θ ≤ 90°, in order of rising 2θ:
2θ 27.58, intensity 29.2
2θ 32.58, intensity 28.6
2θ 37.08, intensity 86.1
2θ 47.04, intensity 71.5
2θ 47.79, intensity 100.0
2θ 49.43, intensity 33.6
2θ 49.80, intensity 52.0
2θ 50.46, intensity 37.9



[3]
Simulated powder X-ray diffraction pattern
Compound: Ni5PH5
Radiation: CuKα
Structure: a structure optimized by DFT (GGA-PBE)

Structure:
```
Ni5PH5
1.0
4.148 0.000 0.000
1.626 4.012 0.000
1.164 -0.370 5.376
Ni P H
5 1 5
direct
0.000 0.000 0.000
0.161 0.458 0.759
0.440 0.194 0.322
0.560 0.806 0.678
0.839 0.542 0.241
0.500 0.500 0.000
0.090 0.144 0.252
0.220 0.119 0.596
0.500 0.500 0.500
0.780 0.881 0.404
0.910 0.856 0.748
```

Top 8 peaks for 10° ≤ 2θ ≤ 90°, in order of rising 2θ:
2θ 25.79, intensity 100.0
2θ 28.49, intensity 48.8
2θ 39.31, intensity 59.3
2θ 41.75, intensity 55.3
2θ 44.88, intensity 52.5
2θ 45.08, intensity 90.6
2θ 45.56, intensity 89.4
2θ 47.37, intensity 58.6



[4]
Simulated powder X-ray diffraction pattern
Compound: Ni4P2H
Radiation: CuKα
Structure: a structure optimized by DFT (GGA-PBE)

Structure:
```
Ni4P2H
1.0
-1.757 1.757 5.822
1.757 -1.757 5.822
1.757 1.757 -5.822
Ni P H
4 2 1
direct
0.000 0.500 0.500
0.179 0.179 0.000
0.500 0.000 0.500
0.821 0.821 0.000
0.364 0.364 0.000
0.636 0.636 0.000
0.000 0.000 0.000
```

Top 8 peaks for 10° ≤ 2θ ≤ 90°, in order of rising 2θ:
2θ 34.43, intensity 17.0
2θ 39.43, intensity 100.0
2θ 46.81, intensity 43.9
2θ 48.15, intensity 52.4
2θ 52.05, intensity 45.9
2θ 72.58, intensity 32.6
2θ 76.70, intensity 13.4
2θ 89.86, intensity 16.5